1.
Structure and computed XRD peak list of NaMo3P3O13 (the GGA+U geometry in the Materials Project; λ = 1.5418 Å (Cu Kα)).

Structure:
```
data_NaMo3P3O13
_symmetry_space_group_name_H-M 'P 1 21/m 1'
_symmetry_Int_Tables_number 11
_cell_length_a 7.630
_cell_length_b 6.682
_cell_length_c 10.908
_cell_angle_alpha 90.00
_cell_angle_beta 99.02
_cell_angle_gamma 90.00
loop_
_symmetry_equiv_pos_as_xyz
'x,y,z'
'-x,-y,-z'
'-x,y+1/2,-z'
'x,-y+1/2,z'
loop_
_atom_site_label
_atom_site_fract_x
_atom_site_fract_y
_atom_site_fract_z
Na1 0.154 0.250 0.190
Mo1 0.146 0.250 0.794
Mo2 0.266 0.750 0.448
Mo3 0.500 0.000 0.000
P1 0.185 0.750 0.119
P2 0.248 0.750 0.769
P3 0.284 0.250 0.513
O1 0.010 0.250 0.949
O2 0.134 0.566 0.791
O3 0.144 0.750 0.257
O4 0.150 0.250 0.609
O5 0.244 0.065 0.428
O6 0.284 0.557 0.097
O7 0.315 0.750 0.645
O8 0.371 0.250 0.901
O9 0.418 0.750 0.875
O10 0.473 0.250 0.588
```

The 8 most intense peaks (2θ from 10° to 90°), by angle:
two_theta, intensity, (hkl)
15.61, 42, 0 1 1
18.71, 100, 1 0 -2
26.25, 38, 2 0 1
26.68, 35, 0 2 0
29.19, 61, 1 0 3
30.94, 33, 1 2 1
31.59, 39, 2 0 -3
35.93, 31, 2 2 0


2.
Structure and computed XRD peak list of Na2TbMoPO8 (the GGA+U geometry in the Materials Project; λ = 1.5418 Å (Cu Kα)).

Structure:
```
data_Na2TbMoPO8
_symmetry_space_group_name_H-M 'I b c a'
_symmetry_Int_Tables_number 73
_symmetry_space_group_name_Hall '-I 2b 2c'
_cell_length_a 7.013
_cell_length_b 12.267
_cell_length_c 18.113
_cell_angle_alpha 90.00
_cell_angle_beta 90.00
_cell_angle_gamma 90.00
loop_
_atom_site_label
_atom_site_fract_x
_atom_site_fract_y
_atom_site_fract_z
Na1 0.010 0.043 0.155
Tb1 0.250 0.178 0.500
Mo1 0.000 0.250 0.320
P1 0.250 0.069 0.000
O1 0.037 0.129 0.767
O2 0.076 0.148 0.008
O3 0.206 0.227 0.378
O4 0.238 0.007 0.568
```

The 8 most intense peaks (2θ from 10° to 90°), by angle:
two_theta, intensity, (hkl)
14.44, 49, 0 2 0
17.55, 38, 1 1 2
19.60, 32, 0 0 4
19.85, 37, 1 2 1
24.49, 37, 1 1 4
27.27, 100, 2 0 2
29.59, 37, 0 0 6
32.25, 66, 1 4 1


3.
Structure and computed XRD peak list of Na2TmMoPO8 (the GGA+U geometry in the Materials Project; λ = 1.5418 Å (Cu Kα)).

Structure:
```
data_Na2TmMoPO8
_symmetry_space_group_name_H-M 'I b c a'
_symmetry_Int_Tables_number 73
_symmetry_space_group_name_Hall '-I 2b 2c'
_cell_length_a 6.869
_cell_length_b 12.144
_cell_length_c 18.154
_cell_angle_alpha 90.00
_cell_angle_beta 90.00
_cell_angle_gamma 90.00
loop_
_atom_site_label
_atom_site_fract_x
_atom_site_fract_y
_atom_site_fract_z
Na1 0.014 0.062 0.152
Tm1 0.250 0.178 0.500
Mo1 0.000 0.250 0.323
P1 0.250 0.069 0.000
O1 0.043 0.131 0.768
O2 0.074 0.149 0.008
O3 0.212 0.225 0.380
O4 0.236 0.007 0.568
```

The 8 most intense peaks (2θ from 10° to 90°), by angle:
two_theta, intensity, (hkl)
14.59, 59, 0 2 0
20.12, 44, 1 2 1
27.40, 34, 1 3 2
27.77, 100, 2 0 2
29.52, 41, 0 0 6
32.64, 75, 1 4 1
35.57, 44, 1 4 3
50.17, 35, 3 4 1


4.
Structure and computed XRD peak list of RbNaMo3O10 (the GGA+U geometry in the Materials Project; λ = 1.5418 Å (Cu Kα)).

Structure:
```
data_RbNaMo3O10
_symmetry_space_group_name_H-M 'P n m a'
_symmetry_Int_Tables_number 62
_cell_length_a 7.829
_cell_length_b 7.722
_cell_length_c 15.833
_cell_angle_alpha 90.00
_cell_angle_beta 90.00
_cell_angle_gamma 90.00
loop_
_symmetry_equiv_pos_as_xyz
'x,y,z'
'-x,-y,-z'
'-x+1/2,-y,z+1/2'
'x+1/2,y,-z+1/2'
'x+1/2,-y+1/2,-z+1/2'
'-x+1/2,y+1/2,z+1/2'
'-x,y+1/2,-z'
'x,-y+1/2,z'
loop_
_atom_site_label
_atom_site_fract_x
_atom_site_fract_y
_atom_site_fract_z
Rb1 0.141 0.250 0.146
Na1 0.062 0.250 0.777
Mo1 0.110 0.501 0.399
Mo2 0.238 0.250 0.556
O1 0.004 0.033 0.302
O2 0.059 0.750 0.412
O3 0.063 0.750 0.009
O4 0.114 0.250 0.427
O5 0.156 0.014 0.536
O6 0.177 0.029 0.869
O7 0.221 0.750 0.166
```

The 8 most intense peaks (2θ from 10° to 90°), by angle:
two_theta, intensity, (hkl)
11.18, 42, 0 0 2
12.61, 71, 1 0 1
22.46, 29, 0 0 4
23.39, 57, 2 0 1
26.34, 45, 1 2 1
28.13, 100, 1 2 2
28.39, 31, 2 0 3
30.49, 32, 0 1 5


5.
Structure and computed XRD peak list of Na2MoSeO6 (the GGA+U geometry in the Materials Project; λ = 1.5418 Å (Cu Kα)).

Structure:
```
data_Na2MoSeO6
_symmetry_space_group_name_H-M 'P 21 3'
_symmetry_Int_Tables_number 198
_symmetry_space_group_name_Hall 'P 2ac 2ab 3'
_cell_length_a 8.483
_cell_length_b 8.483
_cell_length_c 8.483
_cell_angle_alpha 90.00
_cell_angle_beta 90.00
_cell_angle_gamma 90.00
loop_
_atom_site_label
_atom_site_fract_x
_atom_site_fract_y
_atom_site_fract_z
Na1 0.033 0.467 0.533
Na2 0.248 0.252 0.748
Mo1 0.008 0.992 0.492
Se1 0.173 0.173 0.173
O1 0.004 0.744 0.401
O2 0.015 0.424 0.810
```

The 8 most intense peaks (2θ from 10° to 90°), by angle:
two_theta, intensity, (hkl)
14.77, 51, 1 1 0
18.11, 88, 1 1 1
23.45, 51, 2 1 0
25.72, 33, 2 1 1
29.79, 100, 2 2 0
35.08, 52, 3 1 1
52.87, 39, 4 2 2
56.36, 33, 3 3 3